# Tb3Sm4Tl4
Computed powder diffractogram, λ = 1.5418 Å (Cu Kα). Input: the PBE geometry in Alexandria.
Lines closer than 0.1° are merged.

Main lines, low angle first (2θ from 15° to 90°):
| Position (°2θ) | Rel. int. |
| --- | --- |
| 31.07 | 91 |
| 31.57 | 71 |
| 32.01 | 88 |
| 33.71 | 100 |
| 38.67 | 39 |
| 45.39 | 35 |
| 57.96 | 32 |
| 61.88 | 36 |

abc: 10.8788 10.8788 10.8788
angles: 160.48 128.34 55.75
Sites, in units of the cell vectors:
Tb1 0.0000 0.0000 0.0000
Tb2 0.4050 0.9050 0.5000
Tb3 0.5950 0.0950 0.5000
Sm1 0.0179 0.3380 0.6798
Sm2 0.3418 0.6620 0.6798
Sm3 0.6582 0.3380 0.3202
Sm4 0.9821 0.6620 0.3202
Tl1 0.2731 0.2731 0.0000
Tl2 0.2798 0.5000 0.7798
Tl3 0.7202 0.5000 0.2202
Tl4 0.7269 0.7269 0.0000

# Tb3SmTl4
Computed powder diffractogram, λ = 1.5418 Å (Cu Kα). Input: the PBE geometry in Alexandria.
Lines closer than 0.1° are merged.

Main lines, low angle first (2θ from 15° to 90°):
| Position (°2θ) | Rel. int. |
| --- | --- |
| 33.00 | 51 |
| 33.23 | 100 |
| 47.36 | 19 |
| 48.05 | 9 |
| 59.08 | 39 |
| 59.52 | 19 |
| 69.76 | 12 |
| 78.84 | 9 |

abc: 5.4293 5.4293 7.5738
angles: 90.00 90.00 90.00
Sites, in units of the cell vectors:
Tb1 0.0000 0.0000 0.0000
Tb2 0.0000 0.0000 0.5000
Tb3 0.5000 0.5000 0.0000
Sm1 0.5000 0.5000 0.5000
Tl1 0.0000 0.5000 0.2472
Tl2 0.0000 0.5000 0.7528
Tl3 0.5000 0.0000 0.2472
Tl4 0.5000 0.0000 0.7528

# Tb3Sm7Tl
Computed powder diffractogram, λ = 1.5418 Å (Cu Kα). Input: the PBE geometry in Alexandria.
Lines closer than 0.1° are merged.

Main lines, low angle first (2θ from 15° to 90°):
| Position (°2θ) | Rel. int. |
| --- | --- |
| 31.04 | 100 |
| 31.18 | 33 |
| 36.03 | 67 |
| 51.78 | 24 |
| 51.97 | 24 |
| 61.66 | 42 |
| 61.86 | 14 |
| 64.70 | 12 |

abc: 7.0622 7.0622 8.6049
angles: 90.00 90.00 120.00
Sites, in units of the cell vectors:
Tb1 0.0016 0.5008 0.0000
Tb2 0.4992 0.5008 0.0000
Tb3 0.4992 0.9984 0.0000
Sm1 0.1694 0.3388 0.3338
Sm2 0.1694 0.8306 0.3338
Sm3 0.3333 0.6667 0.6712
Sm4 0.3368 0.1684 0.6621
Sm5 0.6612 0.8306 0.3338
Sm6 0.8316 0.1684 0.6621
Sm7 0.8316 0.6632 0.6621
Tl1 0.6667 0.3333 0.3258

# Tb8SmTl2
Computed powder diffractogram, λ = 1.5418 Å (Cu Kα). Input: the PBE geometry in Alexandria.
Lines closer than 0.1° are merged.

Main lines, low angle first (2θ from 15° to 90°):
| Position (°2θ) | Rel. int. |
| --- | --- |
| 30.90 | 100 |
| 31.11 | 100 |
| 31.56 | 97 |
| 31.81 | 94 |
| 35.80 | 68 |
| 35.90 | 68 |
| 37.35 | 61 |
| 61.14 | 28 |

abc: 5.9943 7.8390 7.9287
angles: 105.99 99.20 106.14
Sites, in units of the cell vectors:
Tb1 0.0498 0.1862 0.4097
Tb2 0.1293 0.5367 0.2309
Tb3 0.2372 0.9200 0.0610
Tb4 0.3157 0.2773 0.8775
Tb5 0.6843 0.7227 0.1225
Tb6 0.7628 0.0800 0.9390
Tb7 0.8707 0.4633 0.7691
Tb8 0.9502 0.8138 0.5903
Sm1 0.5000 0.0000 0.5000
Tl1 0.4026 0.6357 0.6832
Tl2 0.5974 0.3643 0.3168

# TbSm2TmTl4
Computed powder diffractogram, λ = 1.5418 Å (Cu Kα). Input: the PBE geometry in Alexandria.
Lines closer than 0.1° are merged.

Main lines, low angle first (2θ from 15° to 90°):
| Position (°2θ) | Rel. int. |
| --- | --- |
| 33.13 | 100 |
| 47.56 | 18 |
| 59.10 | 10 |
| 59.22 | 29 |
| 69.47 | 6 |
| 69.60 | 6 |
| 79.22 | 17 |
| 88.67 | 3 |

abc: 9.3794 9.3794 9.3794
angles: 33.48 33.48 33.48
Sites, in units of the cell vectors:
Tb1 0.0000 0.0000 0.0000
Sm1 0.2495 0.2495 0.2495
Sm2 0.7505 0.7505 0.7505
Tm1 0.5000 0.5000 0.5000
Tl1 0.1255 0.1255 0.1255
Tl2 0.3755 0.3755 0.3755
Tl3 0.6245 0.6245 0.6245
Tl4 0.8745 0.8745 0.8745

# TbSm7Tm2
Computed powder diffractogram, λ = 1.5418 Å (Cu Kα). Input: the PBE geometry in Alexandria.
Lines closer than 0.1° are merged.

Main lines, low angle first (2θ from 15° to 90°):
| Position (°2θ) | Rel. int. |
| --- | --- |
| 30.51 | 85 |
| 30.98 | 100 |
| 32.44 | 46 |
| 32.89 | 21 |
| 33.16 | 20 |
| 46.87 | 15 |
| 56.96 | 18 |
| 61.34 | 17 |

abc: 9.5553 9.5553 7.0649
angles: 111.26 111.26 33.58
Sites, in units of the cell vectors:
Tb1 0.0000 0.0000 0.0000
Sm1 0.0000 0.0000 0.5000
Sm2 0.1991 0.1991 0.1993
Sm3 0.3905 0.3905 0.6393
Sm4 0.3906 0.3906 0.1401
Sm5 0.6094 0.6094 0.8599
Sm6 0.6095 0.6095 0.3607
Sm7 0.8009 0.8009 0.8007
Tm1 0.1995 0.1995 0.6998
Tm2 0.8005 0.8005 0.3002

# Tb5Sm3Tm3
Computed powder diffractogram, λ = 1.5418 Å (Cu Kα). Input: the PBE geometry in Alexandria.
Lines closer than 0.1° are merged.

Main lines, low angle first (2θ from 15° to 90°):
| Position (°2θ) | Rel. int. |
| --- | --- |
| 15.79 | 58 |
| 26.50 | 51 |
| 31.92 | 97 |
| 32.39 | 35 |
| 35.83 | 100 |
| 41.97 | 21 |
| 45.77 | 38 |
| 59.44 | 45 |

abc: 9.7035 9.7035 5.6128
angles: 90.00 90.00 120.00
Sites, in units of the cell vectors:
Tb1 0.0000 0.2893 0.0000
Tb2 0.2893 0.0000 0.0000
Tb3 0.3333 0.6667 0.0000
Tb4 0.6667 0.3333 0.0000
Tb5 0.7107 0.7107 0.0000
Sm1 0.0000 0.4635 0.5000
Sm2 0.4635 0.0000 0.5000
Sm3 0.5365 0.5365 0.5000
Tm1 0.0000 0.6394 0.0000
Tm2 0.3606 0.3606 0.0000
Tm3 0.6394 0.0000 0.0000

# Tb4SmTm
Computed powder diffractogram, λ = 1.5418 Å (Cu Kα). Input: the PBE geometry in Alexandria.
Lines closer than 0.1° are merged.

Main lines, low angle first (2θ from 15° to 90°):
| Position (°2θ) | Rel. int. |
| --- | --- |
| 30.77 | 100 |
| 35.65 | 34 |
| 35.74 | 17 |
| 51.33 | 24 |
| 51.41 | 12 |
| 61.03 | 25 |
| 61.12 | 14 |
| 83.74 | 9 |

abc: 5.0240 6.1647 7.1191
angles: 106.80 90.02 113.95
Sites, in units of the cell vectors:
Tb1 0.1658 0.3315 0.3321
Tb2 0.1675 0.3350 0.8346
Tb3 0.8325 0.6650 0.1654
Tb4 0.8342 0.6685 0.6679
Sm1 0.5000 0.0000 0.5000
Tm1 0.5000 0.0000 0.0000